# ThP
Simulated powder XRD pattern, Cu Kα (weighted mean of Kα1 and Kα2). Input: a GGA-PBE-relaxed structure.
Intensities are scaled so that the largest is 100.

a b c (Å): 5.857 5.857 5.857
angles (deg): 90.00 90.00 90.00
Space group Fm-3m (No. 225)
Inequivalent atoms, fractional coordinates:
Th1 0.000 0.000 0.000 (multiplicity 4)
P1 0.000 0.000 0.500 (multiplicity 4)

Principal peaks in the range 2θ from 10° to 80°, in order of rising 2θ:
| 2theta | I_rel | h k l |
| --- | --- | --- |
| 26.36 | 100 | 1 1 1 |
| 30.52 | 93 | 2 0 0 |
| 43.71 | 70 | 2 2 0 |
| 51.77 | 51 | 3 1 1 |
| 54.25 | 25 | 2 2 2 |
| 72.12 | 33 | 4 2 0 |

---

# Th3P4
Simulated powder XRD pattern, Cu Kα (weighted mean of Kα1 and Kα2). Input: a GGA-PBE-relaxed structure.
Intensities are scaled so that the largest is 100.

a b c (Å): 8.646 8.646 8.646
angles (deg): 90.00 90.00 90.00
Space group I-43d (No. 220)
Inequivalent atoms, fractional coordinates:
Th1 0.000 0.250 0.375 (multiplicity 12)
P1 0.079 0.079 0.079 (multiplicity 16)

Principal peaks in the range 2θ from 10° to 80°, in order of rising 2θ:
| 2theta | I_rel | h k l |
| --- | --- | --- |
| 25.23 | 100 | 2 1 1 |
| 32.75 | 64 | 3 1 0 |
| 38.98 | 41 | 3 2 1 |
| 47.00 | 34 | 4 2 0 |
| 54.08 | 28 | 4 3 1 |
| 66.68 | 30 | 6 1 1 |

---

# TiP2
Simulated powder XRD pattern, Cu Kα (weighted mean of Kα1 and Kα2). Input: a GGA-PBE-relaxed structure.
Intensities are scaled so that the largest is 100.

a b c (Å): 6.170 3.350 8.280
angles (deg): 90.00 90.00 90.00
Space group Pnma (No. 62)
Inequivalent atoms, fractional coordinates:
Ti1 0.235 0.250 0.167 (multiplicity 4)
P1 0.084 0.250 0.865 (multiplicity 4)
P2 0.122 0.250 0.460 (multiplicity 4)

Principal peaks in the range 2θ from 10° to 80°, in order of rising 2θ:
| 2theta | I_rel | h k l |
| --- | --- | --- |
| 35.64 | 32 | 1 0 3 |
| 37.49 | 33 | 1 1 2 |
| 39.72 | 56 | 2 1 0 |
| 41.25 | 61 | 2 1 1 |
| 45.02 | 100 | 1 1 3 |
| 49.48 | 42 | 3 0 2 |

---

# Ti5P3
Simulated powder XRD pattern, Cu Kα (weighted mean of Kα1 and Kα2). Input: a GGA-PBE-relaxed structure.
Intensities are scaled so that the largest is 100.

a b c (Å): 9.770 7.417 6.506
angles (deg): 90.00 90.00 90.00
Space group Pnma (No. 62)
Inequivalent atoms, fractional coordinates:
Ti1 0.000 0.250 0.029 (multiplicity 4)
Ti2 0.072 0.047 0.694 (multiplicity 8)
Ti3 0.207 0.750 0.352 (multiplicity 4)
Ti4 0.224 0.250 0.341 (multiplicity 4)
P1 0.015 0.750 0.579 (multiplicity 4)
P2 0.174 0.509 0.070 (multiplicity 8)

Principal peaks in the range 2θ from 10° to 80°, in order of rising 2θ:
| 2theta | I_rel | h k l |
| --- | --- | --- |
| 37.93 | 87 | 1 2 2 |
| 39.14 | 31 | 3 0 2 |
| 39.37 | 100 | 4 0 1 |
| 41.29 | 74 | 2 2 2 |
| 44.41 | 37 | 4 2 0 |
| 49.14 | 32 | 0 4 0 |

---

# Ti5P3
Simulated powder XRD pattern, Cu Kα (weighted mean of Kα1 and Kα2). Input: a GGA-PBE-relaxed structure.
Intensities are scaled so that the largest is 100.

a b c (Å): 10.265 9.700 4.982
angles (deg): 90.00 90.00 90.00
Space group Pnma (No. 62)
Inequivalent atoms, fractional coordinates:
Ti1 0.044 0.250 0.166 (multiplicity 4)
Ti2 0.118 0.016 0.674 (multiplicity 8)
Ti3 0.154 0.750 0.371 (multiplicity 4)
Ti4 0.218 0.750 0.883 (multiplicity 4)
P1 0.093 0.250 0.681 (multiplicity 4)
P2 0.132 0.505 0.175 (multiplicity 8)

Principal peaks in the range 2θ from 10° to 80°, in order of rising 2θ:
| 2theta | I_rel | h k l |
| --- | --- | --- |
| 36.21 | 36 | 4 1 0 |
| 37.07 | 100 | 0 4 0 |
| 38.32 | 35 | 1 1 2 |
| 39.74 | 34 | 4 2 0 |
| 41.70 | 59 | 1 2 2 |
| 45.04 | 47 | 3 0 2 |

---

# TiVP
Simulated powder XRD pattern, Cu Kα (weighted mean of Kα1 and Kα2). Input: a GGA-PBE-relaxed structure.
Intensities are scaled so that the largest is 100.

a b c (Å): 6.363 3.347 7.646
angles (deg): 90.00 90.00 90.00
Space group Pnma (No. 62)
Inequivalent atoms, fractional coordinates:
Ti1 0.042 0.250 0.167 (multiplicity 4)
V1 0.133 0.250 0.559 (multiplicity 4)
P1 0.245 0.750 0.359 (multiplicity 4)

Principal peaks in the range 2θ from 10° to 80°, in order of rising 2θ:
| 2theta | I_rel | h k l |
| --- | --- | --- |
| 38.04 | 46 | 1 0 3 |
| 38.45 | 100 | 1 1 2 |
| 39.06 | 62 | 2 1 0 |
| 40.88 | 77 | 2 1 1 |
| 47.04 | 41 | 1 1 3 |
| 49.12 | 36 | 3 0 2 |

---

# TiP2W
Simulated powder XRD pattern, Cu Kα (weighted mean of Kα1 and Kα2). Input: a GGA-PBE-relaxed structure.
Intensities are scaled so that the largest is 100.

a b c (Å): 3.231 3.293 11.147
angles (deg): 90.00 90.00 90.00
Space group Imm2 (No. 44)
Inequivalent atoms, fractional coordinates:
Ti1 0.000 0.000 0.000 (multiplicity 2)
P1 0.000 0.000 0.421 (multiplicity 2)
P2 0.000 0.500 0.168 (multiplicity 2)
W1 0.000 0.500 0.755 (multiplicity 2)

Principal peaks in the range 2θ from 10° to 80°, in order of rising 2θ:
| 2theta | I_rel | h k l |
| --- | --- | --- |
| 15.90 | 70 | 0 0 2 |
| 28.26 | 61 | 0 1 1 |
| 28.76 | 43 | 1 0 1 |
| 36.46 | 34 | 0 1 3 |
| 36.86 | 48 | 1 0 3 |
| 42.41 | 100 | 1 1 2 |